1.
Diffraction record for Nd2Ge5Ir3. The powder X-ray diffraction pattern is theoretical, not measured: it uses a DFT-relaxed cell (PBE, the Materials Project) and Cu Ka.
Neutral-atom scattering factors, no anomalous dispersion.

Largest 12 diffraction maxima, by angle, 5 to 70 degrees two-theta:
d = 3.729 Å, 2θ 23.86, rel. 31, (1 3 0); d = 2.844 Å, 2θ 31.45, rel. 26, (1 1 2); d = 2.681 Å, 2θ 33.42, rel. 100, (3 2 1); d = 2.628 Å, 2θ 34.12, rel. 62, (2 0 2); d = 2.593 Å, 2θ 34.59, rel. 52, (2 4 0); d = 2.333 Å, 2θ 38.59, rel. 22, (4 1 1); d = 2.140 Å, 2θ 42.24, rel. 93, (0 4 2); d = 1.970 Å, 2θ 46.07, rel. 26, (4 0 2); d = 1.859 Å, 2θ 49.01, rel. 24, (5 2 1); d = 1.682 Å, 2θ 54.58, rel. 25, (3 2 3); d = 1.527 Å, 2θ 60.67, rel. 19, (0 0 4); d = 1.499 Å, 2θ 61.89, rel. 19, (0 8 0)

Structural model:
```
data_Nd2Ge5Ir3
_symmetry_space_group_name_H-M 'I b a m'
_symmetry_Int_Tables_number 72
_symmetry_space_group_name_Hall '-I 2 2c'
_cell_length_a 10.322
_cell_length_b 11.998
_cell_length_c 6.106
_cell_angle_alpha 90.00
_cell_angle_beta 90.00
_cell_angle_gamma 90.00
loop_
_atom_site_label
_atom_site_type_symbol
_atom_site_fract_x
_atom_site_fract_y
_atom_site_fract_z
_atom_site_occupancy
Nd1 Nd 0.227 0.134 0.000 1
Ge1 Ge 0.000 0.000 0.250 1
Ge2 Ge 0.000 0.276 0.250 1
Ge3 Ge 0.161 0.401 0.000 1
Ir1 Ir 0.000 0.500 0.250 1
Ir2 Ir 0.110 0.142 0.500 1
```

2.
Diffraction record for NdGeIr. The powder X-ray diffraction pattern is theoretical, not measured: it uses a DFT-relaxed cell (PBE, the Materials Project) and Cu Ka.
Neutral-atom scattering factors, no anomalous dispersion.

Largest 12 diffraction maxima, by angle, 5 to 70 degrees two-theta:
d = 3.402 Å, 2θ 26.20, rel. 33, (1 1 1); d = 3.378 Å, 2θ 26.38, rel. 14, (1 0 2); d = 2.696 Å, 2θ 33.23, rel. 54, (1 1 2); d = 2.629 Å, 2θ 34.11, rel. 100, (2 1 1); d = 2.618 Å, 2θ 34.26, rel. 37, (2 0 2); d = 2.282 Å, 2θ 39.48, rel. 35, (3 0 1); d = 2.237 Å, 2θ 40.31, rel. 47, (0 2 0); d = 2.218 Å, 2θ 40.69, rel. 66, (0 1 3); d = 1.701 Å, 2θ 53.91, rel. 21, (2 2 2); d = 1.598 Å, 2θ 57.70, rel. 23, (3 2 1); d = 1.418 Å, 2θ 65.89, rel. 28, (3 1 4); d = 1.355 Å, 2θ 69.32, rel. 13, (2 3 1)

Structural model:
```
data_NdGeIr
_symmetry_space_group_name_H-M 'P n m a'
_symmetry_Int_Tables_number 62
_cell_length_a 7.173
_cell_length_b 4.475
_cell_length_c 7.660
_cell_angle_alpha 90.00
_cell_angle_beta 90.00
_cell_angle_gamma 90.00
loop_
_symmetry_equiv_pos_as_xyz
'x,y,z'
'-x,-y,-z'
'-x+1/2,-y,z+1/2'
'x+1/2,y,-z+1/2'
'x+1/2,-y+1/2,-z+1/2'
'-x+1/2,y+1/2,z+1/2'
'-x,y+1/2,-z'
'x,-y+1/2,z'
loop_
_atom_site_label
_atom_site_type_symbol
_atom_site_fract_x
_atom_site_fract_y
_atom_site_fract_z
_atom_site_occupancy
Nd1 Nd 0.015 0.250 0.199 1
Ge1 Ge 0.182 0.250 0.586 1
Ir1 Ir 0.197 0.750 0.413 1
```

3.
Diffraction record for PrGe2Ir2. The powder X-ray diffraction pattern is theoretical, not measured: it uses a DFT-relaxed cell (PBE, the Materials Project) and Cu Ka.
Neutral-atom scattering factors, no anomalous dispersion.

Largest 12 diffraction maxima, by angle, 5 to 70 degrees two-theta:
d = 3.407 Å, 2θ 26.15, rel. 12, (0 0 3); d = 3.285 Å, 2θ 27.15, rel. 12, (1 0 2); d = 2.907 Å, 2θ 30.76, rel. 29, (1 1 1); d = 2.668 Å, 2θ 33.59, rel. 60, (1 0 3); d = 2.608 Å, 2θ 34.39, rel. 100, (1 1 2); d = 2.144 Å, 2θ 42.15, rel. 73, (2 0 0); d = 1.954 Å, 2θ 46.47, rel. 37, (1 1 4); d = 1.845 Å, 2θ 49.39, rel. 25, (1 0 5); d = 1.671 Å, 2θ 54.94, rel. 30, (2 1 3); d = 1.516 Å, 2θ 61.13, rel. 24, (2 2 0); d = 1.485 Å, 2θ 62.54, rel. 14, (1 1 6); d = 1.399 Å, 2θ 66.90, rel. 20, (2 1 5)

Structural model:
```
data_PrGe2Ir2
_symmetry_space_group_name_H-M 'P 4/n m m'
_symmetry_Int_Tables_number 129
_cell_length_a 4.288
_cell_length_b 4.288
_cell_length_c 10.222
_cell_angle_alpha 90.00
_cell_angle_beta 90.00
_cell_angle_gamma 90.00
loop_
_symmetry_equiv_pos_as_xyz
'x,y,z'
'-x,-y,-z'
'-y+1/2,x,z'
'y+1/2,-x,-z'
'-x+1/2,-y+1/2,z'
'x+1/2,y+1/2,-z'
'y,-x+1/2,z'
'-y,x+1/2,-z'
'x+1/2,-y,-z'
'-x+1/2,y,z'
'-y,-x,-z'
'y,x,z'
'-x,y+1/2,-z'
'x,-y+1/2,z'
'y+1/2,x+1/2,-z'
'-y+1/2,-x+1/2,z'
loop_
_atom_site_label
_atom_site_type_symbol
_atom_site_fract_x
_atom_site_fract_y
_atom_site_fract_z
_atom_site_occupancy
Pr1 Pr 0.250 0.250 0.246 1
Ge1 Ge 0.250 0.250 0.631 1
Ge2 Ge 0.250 0.750 0.000 1
Ir1 Ir 0.250 0.250 0.872 1
Ir2 Ir 0.250 0.750 0.500 1
```

4.
Diffraction record for PrGe2Ir. The powder X-ray diffraction pattern is theoretical, not measured: it uses a DFT-relaxed cell (PBE, the Materials Project) and Cu Ka.
Neutral-atom scattering factors, no anomalous dispersion.

Largest 12 diffraction maxima, by angle, 5 to 70 degrees two-theta:
d = 4.546 Å, 2θ 19.53, rel. 23, (0 2 0); d = 3.433 Å, 2θ 25.96, rel. 18, (1 0 3); d = 2.739 Å, 2θ 32.69, rel. 100, (1 2 3); d = 2.629 Å, 2θ 34.11, rel. 52, (1 0 5); d = 2.390 Å, 2θ 37.63, rel. 17, (1 3 2); d = 2.337 Å, 2θ 38.52, rel. 34, (0 2 6); d = 2.273 Å, 2θ 39.66, rel. 23, (0 4 0); d = 2.210 Å, 2θ 40.84, rel. 41, (2 0 0); d = 1.895 Å, 2θ 48.01, rel. 23, (1 4 3); d = 1.606 Å, 2θ 57.39, rel. 21, (2 2 6); d = 1.584 Å, 2θ 58.25, rel. 19, (2 4 0); d = 1.386 Å, 2θ 67.58, rel. 20, (1 6 3)

Structural model:
```
data_PrGe2Ir
_symmetry_space_group_name_H-M 'I m m m'
_symmetry_Int_Tables_number 71
_symmetry_space_group_name_Hall '-I 2 2'
_cell_length_a 4.419
_cell_length_b 9.091
_cell_length_c 16.351
_cell_angle_alpha 90.00
_cell_angle_beta 90.00
_cell_angle_gamma 90.00
loop_
_atom_site_label
_atom_site_type_symbol
_atom_site_fract_x
_atom_site_fract_y
_atom_site_fract_z
_atom_site_occupancy
Pr1 Pr 0.000 0.000 0.208 1
Pr2 Pr 0.000 0.235 0.000 1
Ge1 Ge 0.000 0.000 0.421 1
Ge2 Ge 0.000 0.343 0.199 1
Ge3 Ge 0.000 0.500 0.422 1
Ir1 Ir 0.000 0.247 0.354 1
```

5.
Diffraction record for PrGeIr. The powder X-ray diffraction pattern is theoretical, not measured: it uses a DFT-relaxed cell (PBE, the Materials Project) and Cu Ka.
Neutral-atom scattering factors, no anomalous dispersion.

Largest 12 diffraction maxima, by angle, 5 to 70 degrees two-theta:
d = 5.215 Å, 2θ 17.00, rel. 21, (1 0 1); d = 3.411 Å, 2θ 26.13, rel. 28, (1 1 1); d = 2.669 Å, 2θ 33.57, rel. 65, (2 1 1); d = 2.655 Å, 2θ 33.76, rel. 100, (1 1 2); d = 2.345 Å, 2θ 38.38, rel. 48, (3 0 1); d = 2.319 Å, 2θ 38.83, rel. 16, (1 0 3); d = 2.255 Å, 2θ 39.98, rel. 71, (0 2 0); d = 2.147 Å, 2θ 42.09, rel. 42, (0 1 3); d = 2.081 Å, 2θ 43.49, rel. 15, (3 1 1); d = 1.672 Å, 2θ 54.93, rel. 15, (4 1 1); d = 1.625 Å, 2θ 56.63, rel. 31, (3 2 1); d = 1.399 Å, 2θ 66.86, rel. 28, (3 1 4)

Structural model:
```
data_PrGeIr
_symmetry_space_group_name_H-M 'P n m a'
_symmetry_Int_Tables_number 62
_cell_length_a 7.427
_cell_length_b 4.509
_cell_length_c 7.323
_cell_angle_alpha 90.00
_cell_angle_beta 90.00
_cell_angle_gamma 90.00
loop_
_symmetry_equiv_pos_as_xyz
'x,y,z'
'-x,-y,-z'
'-x+1/2,-y,z+1/2'
'x+1/2,y,-z+1/2'
'x+1/2,-y+1/2,-z+1/2'
'-x+1/2,y+1/2,z+1/2'
'-x,y+1/2,-z'
'x,-y+1/2,z'
loop_
_atom_site_label
_atom_site_type_symbol
_atom_site_fract_x
_atom_site_fract_y
_atom_site_fract_z
_atom_site_occupancy
Pr1 Pr 0.018 0.250 0.178 1
Ge1 Ge 0.196 0.250 0.611 1
Ir1 Ir 0.144 0.750 0.430 1
```

6.
Diffraction record for Ge3Ir2S3. The powder X-ray diffraction pattern is theoretical, not measured: it uses a DFT-relaxed cell (PBE, the Materials Project) and Cu Ka.
Neutral-atom scattering factors, no anomalous dispersion.

Largest 12 diffraction maxima, by angle, 5 to 70 degrees two-theta:
d = 4.230 Å, 2θ 21.00, rel. 100, (2 0 0); d = 3.454 Å, 2θ 25.79, rel. 9, (2 1 1); d = 2.991 Å, 2θ 29.87, rel. 65, (2 2 0); d = 2.676 Å, 2θ 33.49, rel. 29, (3 1 0); d = 2.442 Å, 2θ 36.80, rel. 31, (2 2 2); d = 2.347 Å, 2θ 38.36, rel. 14, (3 0 2); d = 2.261 Å, 2θ 39.87, rel. 13, (3 2 1); d = 2.115 Å, 2θ 42.75, rel. 14, (4 0 0); d = 2.052 Å, 2θ 44.13, rel. 9, (3 2 2); d = 1.892 Å, 2θ 48.09, rel. 75, (4 0 2); d = 1.727 Å, 2θ 53.02, rel. 51, (4 2 2); d = 1.659 Å, 2θ 55.37, rel. 9, (4 1 3)

Structural model:
```
data_Ge3Ir2S3
_symmetry_space_group_name_H-M 'P m -3'
_symmetry_Int_Tables_number 200
_symmetry_space_group_name_Hall '-P 2 2 3'
_cell_length_a 8.461
_cell_length_b 8.461
_cell_length_c 8.461
_cell_angle_alpha 90.00
_cell_angle_beta 90.00
_cell_angle_gamma 90.00
loop_
_atom_site_label
_atom_site_type_symbol
_atom_site_fract_x
_atom_site_fract_y
_atom_site_fract_z
_atom_site_occupancy
Ge1 Ge 0.000 0.144 0.331 1
Ir1 Ir 0.264 0.264 0.264 1
S1 S 0.169 0.500 0.371 1
```